Structure and simulated X-ray powder pattern of MgV8O8F8 (a DFT-relaxed cell (GGA+U, Alexandria); copper Kα).
No peak broadening, texture or thermal motion is included.

Cell and atoms:
Cell lengths 4.949, 5.737, 10.505 Å; angles 84.90, 89.29, 84.60 degrees
Space group P-1 (No. 2)
One atom of each set of equivalent atoms:
Mg1 0.000 0.000 0.000 x1
V1 0.000 0.000 0.500 x1
V2 0.000 0.500 0.000 x1
V3 0.014 0.720 0.274 x2
V4 0.471 0.750 0.762 x2
V5 0.500 0.000 0.000 x1
V6 0.500 0.500 0.500 x1
O1 0.194 0.994 0.669 x2
O2 0.210 0.722 0.435 x2
O3 0.218 0.482 0.179 x2
O4 0.266 0.762 0.924 x2
F1 0.214 0.238 0.905 x2
F2 0.261 0.985 0.165 x2
F3 0.291 0.487 0.674 x2
F4 0.316 0.232 0.419 x2

Top 10 peaks for 10° ≤ 2θ ≤ 80°, most intense first:
hkl, 2θ (°), d [Å], I (rel.)
1 1 -1, 24.81, 3.588, 100
1 -1 1, 26.85, 3.321, 86
2 0 4, 50.80, 1.797, 32
-2 2 2, 53.43, 1.715, 28
1 1 3, 33.32, 2.689, 28
0 2 2, 34.54, 2.597, 25
2 2 -2, 50.90, 1.794, 25
2 2 2, 48.67, 1.871, 24
-1 1 3, 35.05, 2.560, 23
0 0 4, 34.28, 2.616, 23